Record 1
This entry pairs a crystal structure of Tm2MgCu3 with its theoretical powder diffraction line list. Radiation: Cu Kα (weighted mean of Kα1 and Kα2). Structure: the PBE geometry in Alexandria.

Crystal structure
abc: 4.7333 4.7333 11.5162
angles: 90.00 90.00 120.00
Sites, in units of the cell vectors:
Tm: 0.0000 0.0000 0.0000
Tm: 0.0000 0.0000 0.5000
Tm: 0.3333 0.6667 0.1774
Tm: 0.6667 0.3333 0.8226
Mg: 0.3333 0.6667 0.6644
Mg: 0.6667 0.3333 0.3356
Cu: 0.0000 0.0000 0.2526
Cu: 0.0000 0.0000 0.7474
Cu: 0.3333 0.6667 0.4229
Cu: 0.3333 0.6667 0.9175
Cu: 0.6667 0.3333 0.0825
Cu: 0.6667 0.3333 0.5771

Most intense lines, 15 to 90 degrees two-theta, by intensity:
d [Å]  I_rel
2.367  100.0
2.356  96.5
1.670  32.8
1.364  32.7
3.862  28.7
3.339  23.3
1.358  16.9
1.366  16.8
2.016  12.9
1.178  10.6

Record 2
This entry pairs a crystal structure of Tm4MgCu5 with its theoretical powder diffraction line list. Radiation: Cu Kα (weighted mean of Kα1 and Kα2). Structure: the PBE geometry in Alexandria.

Crystal structure
abc: 3.3582 3.3582 17.0163
angles: 90.00 90.00 90.00
Sites, in units of the cell vectors:
Tm: 0.0000 0.0000 0.1026
Tm: 0.0000 0.0000 0.3080
Tm: 0.0000 0.0000 0.6920
Tm: 0.0000 0.0000 0.8974
Mg: 0.0000 0.0000 0.5000
Cu: 0.5000 0.5000 0.0000
Cu: 0.5000 0.5000 0.2054
Cu: 0.5000 0.5000 0.4094
Cu: 0.5000 0.5000 0.5906
Cu: 0.5000 0.5000 0.7946

Most intense lines, 15 to 90 degrees two-theta, by intensity:
d [Å]  I_rel
2.390  100.0
2.375  51.0
1.374  33.6
1.679  17.3
1.383  15.6
3.358  14.3
1.195  9.4
2.636  8.5
1.702  7.8
3.403  7.2

Record 3
This entry pairs a crystal structure of TmMgCu5 with its theoretical powder diffraction line list. Radiation: Cu Kα (weighted mean of Kα1 and Kα2). Structure: the PBE geometry in Alexandria.

Crystal structure
abc: 8.1870 5.0095 10.4088
angles: 90.00 90.00 90.00
Sites, in units of the cell vectors:
Tm: 0.2495 0.2500 0.0603
Tm: 0.2505 0.7500 0.5603
Tm: 0.7495 0.2500 0.4397
Tm: 0.7505 0.7500 0.9397
Mg: 0.1364 0.7500 0.8614
Mg: 0.3636 0.2500 0.3614
Mg: 0.6364 0.7500 0.6386
Mg: 0.8636 0.2500 0.1386
Cu: 0.0516 0.7500 0.1022
Cu: 0.0679 0.0051 0.3121
Cu: 0.0679 0.4949 0.3121
Cu: 0.0885 0.2500 0.5173
Cu: 0.1871 0.2500 0.7437
Cu: 0.3129 0.7500 0.2437
Cu: 0.4115 0.7500 0.0173
Cu: 0.4321 0.5051 0.8121
Cu: 0.4321 0.9949 0.8121
Cu: 0.4484 0.2500 0.6022
Cu: 0.5516 0.7500 0.3978
Cu: 0.5679 0.0051 0.1879
Cu: 0.5679 0.4949 0.1879
Cu: 0.5885 0.2500 0.9827
Cu: 0.6871 0.2500 0.7563
Cu: 0.8129 0.7500 0.2563
Cu: 0.9115 0.7500 0.4827
Cu: 0.9321 0.5051 0.6879
Cu: 0.9321 0.9949 0.6879
Cu: 0.9484 0.2500 0.8978

Most intense lines, 15 to 90 degrees two-theta, by intensity:
d [Å]  I_rel
2.338  100.0
2.480  24.6
2.010  22.9
1.971  20.9
3.953  19.3
1.412  18.7
2.176  18.3
2.257  16.6
2.505  14.2
4.392  13.7

Record 4
This entry pairs a crystal structure of MgCuW4 with its theoretical powder diffraction line list. Radiation: Cu Kα (weighted mean of Kα1 and Kα2). Structure: the PBE geometry in Alexandria.

Crystal structure
abc: 5.3054 5.3054 5.3054
angles: 60.00 60.00 60.00
Sites, in units of the cell vectors:
Mg: 0.0000 0.0000 0.0000
Cu: 0.2500 0.2500 0.2500
W: 0.1247 0.6251 0.6251
W: 0.6251 0.1247 0.6251
W: 0.6251 0.6251 0.1247
W: 0.6251 0.6251 0.6251

Most intense lines, 15 to 90 degrees two-theta, by intensity:
d [Å]  I_rel
2.262  100.0
4.332  84.8
2.166  83.6
1.326  33.0
1.131  32.7
1.444  32.2
1.876  30.8
1.721  21.1
1.268  15.8
1.144  11.5

Record 5
This entry pairs a crystal structure of YMgCu with its theoretical powder diffraction line list. Radiation: Cu Kα (weighted mean of Kα1 and Kα2). Structure: the PBE geometry in Alexandria.

Crystal structure
abc: 5.4635 8.2195 5.7364
angles: 90.00 90.00 90.00
Sites, in units of the cell vectors:
Y: 0.1738 0.0987 0.2500
Y: 0.1738 0.4013 0.7500
Y: 0.8262 0.5987 0.2500
Y: 0.8262 0.9013 0.7500
Mg: 0.3364 0.7500 0.0000
Mg: 0.3364 0.7500 0.5000
Mg: 0.6636 0.2500 0.0000
Mg: 0.6636 0.2500 0.5000
Cu: 0.3264 0.0474 0.7500
Cu: 0.3264 0.4526 0.2500
Cu: 0.6736 0.5474 0.7500
Cu: 0.6736 0.9526 0.2500

Most intense lines, 15 to 90 degrees two-theta, by intensity:
d [Å]  I_rel
2.362  100.0
2.449  91.5
2.426  62.1
2.868  59.6
2.352  47.6
2.850  43.0
4.550  38.7
1.863  38.4
1.599  35.2
2.732  31.3

Record 6
This entry pairs a crystal structure of YMg9Cu2 with its theoretical powder diffraction line list. Radiation: Cu Kα (weighted mean of Kα1 and Kα2). Structure: the PBE geometry in Alexandria.

Crystal structure
abc: 5.7648 5.7648 10.8480
angles: 105.25 105.25 59.97
Sites, in units of the cell vectors:
Y: 0.0000 0.0000 0.0000
Mg: 0.0823 0.5840 0.2521
Mg: 0.3332 0.3332 0.0002
Mg: 0.4163 0.4163 0.7487
Mg: 0.4160 0.9177 0.7479
Mg: 0.5000 0.5000 0.5000
Mg: 0.5840 0.0823 0.2521
Mg: 0.5837 0.5837 0.2513
Mg: 0.6668 0.6668 0.9998
Mg: 0.9177 0.4160 0.7479
Cu: 0.0922 0.0922 0.2789
Cu: 0.9078 0.9078 0.7211

Most intense lines, 15 to 90 degrees two-theta, by intensity:
d [Å]  I_rel
2.882  100.0
2.488  84.3
4.751  76.7
4.928  68.7
2.584  68.5
2.463  53.8
2.315  44.0
2.634  42.1
1.441  36.0
2.212  32.7

Record 7
This entry pairs a crystal structure of YMgCu10 with its theoretical powder diffraction line list. Radiation: Cu Kα (weighted mean of Kα1 and Kα2). Structure: the PBE geometry in Alexandria.

Crystal structure
abc: 4.0799 4.9716 8.6162
angles: 90.00 90.00 90.00
Sites, in units of the cell vectors:
Y: 0.0000 0.0000 0.0000
Mg: 0.0000 0.5000 0.5000
Cu: 0.0000 0.0000 0.3426
Cu: 0.0000 0.0000 0.6574
Cu: 0.0000 0.5000 0.1787
Cu: 0.0000 0.5000 0.8213
Cu: 0.5000 0.0000 0.5000
Cu: 0.5000 0.2486 0.2507
Cu: 0.5000 0.2486 0.7493
Cu: 0.5000 0.5000 0.0000
Cu: 0.5000 0.7514 0.2507
Cu: 0.5000 0.7514 0.7493

Most intense lines, 15 to 90 degrees two-theta, by intensity:
d [Å]  I_rel
2.123  100.0
1.904  47.7
2.040  34.4
4.307  30.4
2.153  29.3
1.354  20.5
2.487  18.2
1.243  17.5
1.481  16.5
1.193  13.5

Record 8
This entry pairs a crystal structure of Y3Mg2Cu2 with its theoretical powder diffraction line list. Radiation: Cu Kα (weighted mean of Kα1 and Kα2). Structure: the PBE geometry in Alexandria.

Crystal structure
abc: 8.6053 8.6053 14.1773
angles: 124.28 124.28 23.33
Sites, in units of the cell vectors:
Y: 0.1310 0.1310 0.1059
Y: 0.1624 0.1624 0.8791
Y: 0.3126 0.3126 0.4567
Y: 0.6874 0.6874 0.5433
Y: 0.8376 0.8376 0.1209
Y: 0.8690 0.8690 0.8941
Mg: 0.0723 0.0723 0.2930
Mg: 0.4482 0.4482 0.3657
Mg: 0.5518 0.5518 0.6343
Mg: 0.9277 0.9277 0.7070
Cu: 0.2117 0.2117 0.7168
Cu: 0.4718 0.4718 0.0979
Cu: 0.5282 0.5282 0.9021
Cu: 0.7883 0.7883 0.2832

Most intense lines, 15 to 90 degrees two-theta, by intensity:
d [Å]  I_rel
2.508  100.0
2.480  87.2
2.810  49.2
2.774  32.8
2.320  29.8
4.830  29.7
2.934  23.7
1.740  22.8
1.969  17.6
2.882  15.7

Record 9
This entry pairs a crystal structure of Y2Mg4Cu with its theoretical powder diffraction line list. Radiation: Cu Kα (weighted mean of Kα1 and Kα2). Structure: the PBE geometry in Alexandria.

Crystal structure
abc: 9.4965 9.4918 6.4696
angles: 70.12 70.04 39.84
Sites, in units of the cell vectors:
Y: 0.1621 0.8379 0.1621
Y: 0.3381 0.6619 0.6619
Y: 0.6619 0.3381 0.3381
Y: 0.8379 0.1621 0.8379
Mg: 0.0041 0.3365 0.9959
Mg: 0.1633 0.4961 0.5039
Mg: 0.3365 0.0041 0.6635
Mg: 0.4961 0.1633 0.8367
Mg: 0.5039 0.8367 0.1633
Mg: 0.6635 0.9959 0.3365
Mg: 0.8367 0.5039 0.4961
Mg: 0.9959 0.6635 0.0041
Cu: 0.2500 0.2500 0.2500
Cu: 0.7500 0.7500 0.7500

Most intense lines, 15 to 90 degrees two-theta, by intensity:
d [Å]  I_rel
2.565  100.0
4.160  41.7
4.009  39.0
2.851  29.5
3.015  25.7
2.046  25.5
1.836  25.1
2.105  24.3
1.558  20.3
2.371  18.1

Record 10
This entry pairs a crystal structure of YMg2Cu2 with its theoretical powder diffraction line list. Radiation: Cu Kα (weighted mean of Kα1 and Kα2). Structure: the PBE geometry in Alexandria.

Crystal structure
abc: 6.6935 6.6935 8.2824
angles: 90.00 90.00 147.30
Sites, in units of the cell vectors:
Y: 0.0856 0.9144 0.5000
Y: 0.9144 0.0856 0.0000
Mg: 0.1932 0.8068 0.1154
Mg: 0.3804 0.6196 0.3544
Mg: 0.6196 0.3804 0.8544
Mg: 0.8068 0.1932 0.6155
Cu: 0.2725 0.7275 0.8278
Cu: 0.4463 0.5537 0.6894
Cu: 0.5537 0.4463 0.1894
Cu: 0.7275 0.2725 0.3278

Most intense lines, 15 to 90 degrees two-theta, by intensity:
d [Å]  I_rel
2.677  100.0
2.724  73.4
2.537  40.9
5.076  39.9
2.056  29.0
2.094  25.8
1.884  25.2
3.480  24.7
2.194  21.2
3.314  19.3

Record 11
This entry pairs a crystal structure of YMg3Cu8 with its theoretical powder diffraction line list. Radiation: Cu Kα (weighted mean of Kα1 and Kα2). Structure: the PBE geometry in Alexandria.

Crystal structure
abc: 8.7676 8.7676 8.7676
angles: 33.43 33.43 33.43
Sites, in units of the cell vectors:
Y: 0.0000 0.0000 0.0000
Mg: 0.1285 0.1285 0.1285
Mg: 0.4970 0.4970 0.4970
Mg: 0.6168 0.6168 0.6168
Cu: 0.0610 0.0610 0.5593
Cu: 0.0610 0.5593 0.0610
Cu: 0.0633 0.5634 0.5634
Cu: 0.3108 0.3108 0.3108
Cu: 0.5593 0.0610 0.0610
Cu: 0.5634 0.0633 0.5634
Cu: 0.5634 0.5634 0.0633
Cu: 0.8118 0.8118 0.8118

Most intense lines, 15 to 90 degrees two-theta, by intensity:
d [Å]  I_rel
2.155  100.0
2.060  57.9
4.124  43.7
2.151  33.6
1.375  21.3
2.525  18.8
2.067  18.8
1.261  17.3
1.786  17.1
1.264  16.7

Record 12
This entry pairs a crystal structure of Y2Mg4Cu with its theoretical powder diffraction line list. Radiation: Cu Kα (weighted mean of Kα1 and Kα2). Structure: the PBE geometry in Alexandria.

Crystal structure
abc: 7.9073 7.9073 7.9073
angles: 37.51 37.51 37.51
Sites, in units of the cell vectors:
Y: 0.2116 0.2116 0.2116
Y: 0.7884 0.7884 0.7884
Mg: 0.0648 0.0648 0.0648
Mg: 0.3660 0.3660 0.3660
Mg: 0.6340 0.6340 0.6340
Mg: 0.9352 0.9352 0.9352
Cu: 0.5000 0.5000 0.5000

Most intense lines, 15 to 90 degrees two-theta, by intensity:
d [Å]  I_rel
2.542  100.0
2.560  97.9
1.804  33.2
1.471  32.8
3.439  25.9
2.402  22.8
1.468  17.0
1.482  16.7
3.114  14.6
1.139  13.6

Record 13
This entry pairs a crystal structure of YMgCu2 with its theoretical powder diffraction line list. Radiation: Cu Kα (weighted mean of Kα1 and Kα2). Structure: the PBE geometry in Alexandria.

Crystal structure
abc: 5.2505 5.2505 4.9338
angles: 107.67 107.67 35.70
Sites, in units of the cell vectors:
Y: 0.0000 0.0000 0.0000
Mg: 0.2108 0.2108 0.6476
Cu: 0.4584 0.4584 0.4775
Cu: 0.7614 0.7614 0.2155

Most intense lines, 15 to 90 degrees two-theta, by intensity:
d [Å]  I_rel
2.441  100.0
2.240  70.7
2.426  45.7
2.368  35.0
4.737  21.2
1.873  20.8
4.676  16.3
1.449  15.6
1.609  14.0
2.682  13.5